No. 1
For LiMnO2, DFT lattice parameters and positions (GGA+U) gives the calculated powder X-ray diffraction pattern in this record (Cu Kα (weighted mean of Kα1 and Kα2)).

Structural model:
Unit cell a=5.9487 b=5.9575 c=10.2437 alpha=73.91 beta=74.33 gamma=60.71
Positions (direct):
Li 0.0000 0.0000 0.0000
Li 0.0000 0.5000 0.0000
Li 0.2248 0.2422 0.7648
Li 0.2588 0.2488 0.2503
Li 0.5000 0.0000 0.5000
Li 0.5000 0.5000 0.5000
Li 0.7412 0.7512 0.7497
Li 0.7752 0.7578 0.2352
Mn 0.0000 0.0000 0.5000
Mn 0.0000 0.5000 0.5000
Mn 0.2457 0.7425 0.7514
Mn 0.2582 0.7508 0.2502
Mn 0.5000 0.0000 0.0000
Mn 0.5000 0.5000 0.0000
Mn 0.7418 0.2492 0.7498
Mn 0.7543 0.2575 0.2486
O 0.1124 0.6516 0.6157
O 0.1380 0.0982 0.6179
O 0.1568 0.0971 0.1261
O 0.1650 0.6253 0.1252
O 0.3353 0.8806 0.3808
O 0.3475 0.3822 0.8713
O 0.3466 0.4077 0.3756
O 0.3747 0.8554 0.8774
O 0.6253 0.1446 0.1226
O 0.6534 0.5923 0.6244
O 0.6525 0.6178 0.1287
O 0.6647 0.1194 0.6192
O 0.8350 0.3747 0.8748
O 0.8432 0.9029 0.8739
O 0.8620 0.9018 0.3821
O 0.8876 0.3484 0.3843

Largest 8 diffraction maxima, by angle, 2θ = 10–90°:
- 2θ 18.23, I = 100
- 2θ 20.87, I = 30
- 2θ 21.35, I = 27
- 2θ 36.93, I = 17
- 2θ 42.47, I = 53
- 2θ 42.69, I = 53
- 2θ 43.48, I = 50
- 2θ 62.35, I = 28

No. 2
For AcV2CuO7, DFT lattice parameters and positions (GGA+U) gives the calculated powder X-ray diffraction pattern in this record (Cu Kα (weighted mean of Kα1 and Kα2)).

Structural model:
Unit cell a=10.1566 b=10.1566 c=10.1566 alpha=158.70 beta=158.70 gamma=30.31
Positions (direct):
Ac 0.0000 0.0000 0.0000
V 0.3825 0.3825 0.0000
V 0.6175 0.6175 0.0000
Cu 0.7500 0.2500 0.5000
O 0.0997 0.5997 0.5000
O 0.2946 0.2946 0.0000
O 0.4003 0.9003 0.5000
O 0.5000 0.5000 0.0000
O 0.6012 0.1012 0.5000
O 0.7054 0.7054 0.0000
O 0.8988 0.3988 0.5000

Largest 8 diffraction maxima, by angle, 2θ = 10–90°:
- 2θ 24.13, I = 28
- 2θ 27.39, I = 100
- 2θ 33.03, I = 49
- 2θ 35.01, I = 42
- 2θ 36.67, I = 21
- 2θ 43.94, I = 35
- 2θ 48.49, I = 28
- 2θ 56.59, I = 28